Starting from a DFT-relaxed cell (PBE, Alexandria), the powder diffractogram of TbGaPt2 was simulated for Cu Kα, 1.54184 Å.

Peak list (10 most intense, 15° ≤ 2θ ≤ 90°, by angle)
(2 1 1), d = 2.830 Å, I = 53; (1 2 1), d = 2.799 Å, I = 50; (1 0 2), d = 2.640 Å, I = 64; (2 2 0), d = 2.565 Å, I = 100; (1 1 2), d = 2.477 Å, I = 80; (2 2 1), d = 2.336 Å, I = 49; (3 0 1), d = 2.247 Å, I = 88; (1 2 2), d = 2.125 Å, I = 62; (1 3 1), d = 2.108 Å, I = 73; (3 3 2), d = 1.463 Å, I = 36

Cell and atoms:
a b c (Å): 7.346 7.166 5.658
angles (deg): 90.00 90.00 90.00
Space group Pnma (No. 62)
Asymmetric unit:
Tb 0.027 0.250 0.144 [4 per cell]
Ga 0.116 0.750 0.358 [4 per cell]
Pt 0.186 0.051 0.584 [8 per cell]